Entry 1:
This entry pairs a crystal structure of BaP3H10C3NO9 with its theoretical XRD peak list. Radiation: CuKα. Structure: the GGA-PBE geometry in the Materials Project.

Main lines, sorted by position (10° ≤ 2θ ≤ 80°):
Position (°2θ)  d [Å]  intensity
10.02  8.827  1000
12.04  7.350  501
18.79  4.723  344
21.90  4.059  581
23.31  3.816  943
23.76  3.745  524
24.94  3.571  536
25.20  3.534  489
25.90  3.440  491
26.34  3.384  351

Cell and atoms:
Cell lengths 7.7570, 8.7231, 9.1524 Å; angles 102.13, 95.46, 106.15 degrees
Space group P-1 (No. 2)
One atom of each set of equivalent atoms:
Ba 0.1105 0.2754 0.4441
P 0.0099 0.1065 0.8127
P 0.2889 0.6628 0.8191
P 0.3688 0.6853 0.4068
H 0.0250 0.6609 0.0128
H 0.0614 0.6384 0.2047
H 0.1674 0.1195 0.0300
H 0.2904 0.5443 0.0395
H 0.3100 0.8961 0.0991
H 0.3741 0.9433 0.3537
H 0.4558 0.1314 0.7277
H 0.4872 0.8004 0.7004
H 0.4989 0.4959 0.7132
H 0.4986 0.6995 0.0460
C 0.0864 0.7236 0.1308
C 0.3497 0.6664 0.0201
C 0.4013 0.8338 0.2882
N 0.2885 0.7861 0.1320
O 0.0560 0.0944 0.6554
O 0.1028 0.6840 0.7933
O 0.1319 0.0477 0.1693
O 0.1834 0.6547 0.4542
O 0.1906 0.1582 0.9329
O 0.3132 0.5030 0.7293
O 0.3726 0.5144 0.3052
O 0.4476 0.8182 0.8042
O 0.4649 0.2374 0.4684



Entry 2:
This entry pairs a crystal structure of Dy2NiAs2 with its theoretical XRD peak list. Radiation: CuKα. Structure: the GGA-PBE geometry in the Materials Project.

Main lines, sorted by position (10° ≤ 2θ ≤ 80°):
Position (°2θ)  d [Å]  intensity
25.89  3.441  273
31.42  2.847  1000
35.62  2.520  580
40.46  2.229  261
44.26  2.046  674
50.96  1.792  135
55.28  1.662  202
58.06  1.589  138
69.75  1.348  311
73.40  1.290  174

Cell and atoms:
Cell lengths 4.0930, 4.0930, 14.3359 Å; angles 90.00, 90.00, 120.00 degrees
Space group P6_3/mmc (No. 194)
One atom of each set of equivalent atoms:
Dy 0.3333 0.6667 0.1171
Ni 0.0000 0.0000 0.2500
As 0.0000 0.0000 0.0000
As 0.3333 0.6667 0.7500



Entry 3:
This entry pairs a crystal structure of MgSi with its theoretical XRD peak list. Radiation: CuKα. Structure: the GGA-PBE geometry in the Materials Project.

Main lines, sorted by position (10° ≤ 2θ ≤ 80°):
Position (°2θ)  d [Å]  intensity
33.50  2.675  463
33.77  2.654  871
33.97  2.639  468
35.20  2.550  604
35.91  2.501  759
38.82  2.320  453
40.50  2.228  518
41.23  2.190  1000
43.66  2.073  342
45.44  1.996  417

Cell and atoms:
Cell lengths 4.3852, 6.3122, 8.9570 Å; angles 75.97, 88.28, 71.60 degrees
Space group P-1 (No. 2)
One atom of each set of equivalent atoms:
Mg 0.0502 0.4271 0.3312
Mg 0.1698 0.2154 0.0071
Mg 0.2537 0.0114 0.6677
Si 0.3179 0.7849 0.1978
Si 0.3890 0.7097 0.4724
Si 0.4257 0.5797 0.8669



What did the first record say?
This entry pairs a crystal structure of BaP3H10C3NO9 with its theoretical XRD peak list. Radiation: CuKα. Structure: the GGA-PBE geometry in the Materials Project.

Main lines, sorted by position (10° ≤ 2θ ≤ 80°):
Position (°2θ)  d [Å]  intensity
10.02  8.827  1000
12.04  7.350  501
18.79  4.723  344
21.90  4.059  581
23.31  3.816  943
23.76  3.745  524
24.94  3.571  536
25.20  3.534  489
25.90  3.440  491
26.34  3.384  351

Cell and atoms:
Cell lengths 7.7570, 8.7231, 9.1524 Å; angles 102.13, 95.46, 106.15 degrees
Space group P-1 (No. 2)
One atom of each set of equivalent atoms:
Ba 0.1105 0.2754 0.4441
P 0.0099 0.1065 0.8127
P 0.2889 0.6628 0.8191
P 0.3688 0.6853 0.4068
H 0.0250 0.6609 0.0128
H 0.0614 0.6384 0.2047
H 0.1674 0.1195 0.0300
H 0.2904 0.5443 0.0395
H 0.3100 0.8961 0.0991
H 0.3741 0.9433 0.3537
H 0.4558 0.1314 0.7277
H 0.4872 0.8004 0.7004
H 0.4989 0.4959 0.7132
H 0.4986 0.6995 0.0460
C 0.0864 0.7236 0.1308
C 0.3497 0.6664 0.0201
C 0.4013 0.8338 0.2882
N 0.2885 0.7861 0.1320
O 0.0560 0.0944 0.6554
O 0.1028 0.6840 0.7933
O 0.1319 0.0477 0.1693
O 0.1834 0.6547 0.4542
O 0.1906 0.1582 0.9329
O 0.3132 0.5030 0.7293
O 0.3726 0.5144 0.3052
O 0.4476 0.8182 0.8042
O 0.4649 0.2374 0.4684